(1)
Structure and calculated X-ray diffraction stick pattern of Ce2CdGe3Pt6 (the PBE geometry in Alexandria; Cu Ka).
Peak positions follow from Bragg's law for the DFT cell and can differ from measured ones.

The 10 most intense peaks (10 to 90 degrees two-theta), sorted by position:
h k l  2θ (°)  d/Å  Rel. int.
0 0 4  21.87  4.063  47
1 0 1  22.48  3.955  29
1 0 4  31.07  2.878  32
1 1 1  31.51  2.839  79
1 1 3  35.27  2.545  100
1 1 4  38.28  2.351  52
2 0 0  44.43  2.039  80
1 0 7  44.95  2.017  47
2 2 0  64.65  1.442  26
2 1 7  65.05  1.434  31

Crystal structure
Cell: 4.0780 4.0780 16.2428 Å, 90.00 90.00 90.00°
Space group P4/mmm (No. 123)
One atom of each set of equivalent atoms:
Ce1 0.0000 0.0000 0.2083 (multiplicity 2)
Cd1 0.0000 0.0000 0.5000 (multiplicity 1)
Ge1 0.5000 0.5000 0.0000 (multiplicity 1)
Ge2 0.5000 0.5000 0.2964 (multiplicity 2)
Pt1 0.0000 0.5000 0.3787 (multiplicity 4)
Pt2 0.5000 0.5000 0.1453 (multiplicity 2)



(2)
Structure and calculated X-ray diffraction stick pattern of CeCdH6Ir2 (the PBE geometry in Alexandria; Cu Ka).
Peak positions follow from Bragg's law for the DFT cell and can differ from measured ones.

The 10 most intense peaks (10 to 90 degrees two-theta), sorted by position:
h k l  2θ (°)  d/Å  Rel. int.
0 0 3  16.97  5.224  28
1 0 4  31.59  2.832  95
0 1 5  36.08  2.490  40
1 1 0  38.03  2.366  100
1 1 3  41.92  2.155  19
1 0 7  46.21  1.965  18
0 2 4  50.25  1.816  26
1 0 10  63.56  1.464  15
2 1 4  64.72  1.440  24
3 0 0  68.72  1.366  18

Crystal structure
Cell: 4.7318 4.7318 15.6710 Å, 90.00 90.00 120.00°
Space group R-3m (No. 166, hexagonal axes)
One atom of each set of equivalent atoms:
Ce1 0.0000 0.0000 0.0000 (multiplicity 3)
Cd1 0.0000 0.0000 0.5000 (multiplicity 3)
H1 0.0233 0.5117 0.9459 (multiplicity 18)
Ir1 0.0000 0.0000 0.2126 (multiplicity 6)



(3)
Structure and calculated X-ray diffraction stick pattern of CeCdTcH6 (the PBE geometry in Alexandria; Cu Ka).
Peak positions follow from Bragg's law for the DFT cell and can differ from measured ones.

The 10 most intense peaks (10 to 90 degrees two-theta), sorted by position:
h k l  2θ (°)  d/Å  Rel. int.
1 0 1  29.12  3.067  100
1 1 0  37.38  2.406  52
0 0 2  39.80  2.265  14
2 0 1  48.06  1.893  25
1 1 2  55.74  1.649  33
2 1 1  62.42  1.488  22
1 0 3  65.79  1.420  10
3 0 0  67.42  1.389  9
3 0 2  81.24  1.184  11
3 1 1  87.00  1.120  9

Crystal structure
Cell: 4.8121 4.8121 4.5295 Å, 90.00 90.00 120.00°
Space group P-6m2 (No. 187)
One atom of each set of equivalent atoms:
Ce1 0.0000 0.0000 0.0000 (multiplicity 1)
Cd1 0.6667 0.3333 0.5000 (multiplicity 1)
Tc1 0.3333 0.6667 0.5000 (multiplicity 1)
H1 0.0512 0.5256 0.2116 (multiplicity 6)



(4)
Structure and calculated X-ray diffraction stick pattern of CeCdHg4 (the PBE geometry in Alexandria; Cu Ka).
Peak positions follow from Bragg's law for the DFT cell and can differ from measured ones.

The 10 most intense peaks (10 to 90 degrees two-theta), sorted by position:
h k l  2θ (°)  d/Å  Rel. int.
0 4 1  25.09  3.550  8
1 5 0  33.38  2.685  8
0 6 0  33.66  2.662  17
1 3 2  33.86  2.647  100
1 5 1  35.39  2.537  10
2 0 0  36.28  2.476  27
0 0 4  46.92  1.936  11
2 6 0  50.32  1.813  11
2 0 4  60.72  1.525  10
3 3 2  63.72  1.460  16

Crystal structure
Cell: 4.9524 15.9740 7.7478 Å, 90.00 90.00 90.00°
Space group Cmc2_1 (No. 36)
One atom of each set of equivalent atoms:
Ce1 0.0000 0.1732 0.0000 (multiplicity 4)
Cd1 0.0000 0.3576 0.8057 (multiplicity 4)
Hg1 0.0000 0.0080 0.2718 (multiplicity 4)
Hg2 0.0000 0.1939 0.5043 (multiplicity 4)
Hg3 0.0000 0.3486 0.2170 (multiplicity 4)
Hg4 0.0000 0.4726 0.5126 (multiplicity 4)



(5)
Structure and calculated X-ray diffraction stick pattern of Ce4Cd3Hg2 (the PBE geometry in Alexandria; Cu Ka).
Peak positions follow from Bragg's law for the DFT cell and can differ from measured ones.

The 10 most intense peaks (10 to 90 degrees two-theta), sorted by position:
h k l  2θ (°)  d/Å  Rel. int.
2 0 -1  21.28  4.175  6
0 0 3  27.24  3.274  4
3 1 0  33.61  2.666  100
0 2 3  43.82  2.066  7
4 0 3  48.27  1.886  16
6 0 0  60.15  1.538  27
3 1 6  67.12  1.395  8
6 2 0  70.75  1.332  6
7 1 3  80.62  1.192  7
6 0 6  86.92  1.121  4

Crystal structure
Cell: 9.2261 5.3264 9.8216 Å, 90.00 90.05 90.00°
Space group C2/m (No. 12)
One atom of each set of equivalent atoms:
Ce1 0.0001 0.0000 0.1436 (multiplicity 4)
Ce2 0.1667 0.5000 0.6397 (multiplicity 4)
Cd1 0.0000 0.0000 0.5000 (multiplicity 2)
Cd2 0.1667 0.5000 0.9997 (multiplicity 4)
Hg1 0.1666 0.5000 0.3148 (multiplicity 4)



(6)
Structure and calculated X-ray diffraction stick pattern of Ce5Cd3Hg3 (the PBE geometry in Alexandria; Cu Ka).
Peak positions follow from Bragg's law for the DFT cell and can differ from measured ones.

The 10 most intense peaks (10 to 90 degrees two-theta), sorted by position:
h k l  2θ (°)  d/Å  Rel. int.
2 1 0  25.90  3.440  17
3 0 0  29.44  3.034  90
1 1 1  33.21  2.697  100
3 1 0  35.57  2.524  69
2 1 1  38.81  2.320  54
2 2 1  44.97  2.016  56
3 2 1  52.62  1.739  20
4 2 1  61.45  1.509  21
3 0 2  67.07  1.395  18
3 1 2  70.60  1.334  19

Crystal structure
Cell: 10.5093 10.5093 3.1430 Å, 90.00 90.00 120.00°
Space group P-62m (No. 189)
One atom of each set of equivalent atoms:
Ce1 0.0000 0.3531 0.0000 (multiplicity 3)
Ce2 0.3333 0.6667 0.0000 (multiplicity 2)
Cd1 0.0000 0.8426 0.0000 (multiplicity 3)
Hg1 0.0000 0.6103 0.5000 (multiplicity 3)